1.
Theoretical powder diffraction line list
Compound: GdSi2Ni10
Radiation: Cu Kα (λ = 1.5418 Å)
Structure: a structure optimized by DFT (GGA-PBE)
Intensities are scaled so that the largest is 100.

Peak list (10 most intense, 5° ≤ 2θ ≤ 70°, by intensity)
(hkl)	2θ/deg	intensity
0 0 4	44.1	100
2 2 0	44.5	79
1 3 2	45.0	62
1 3 0	39.0	58
2 2 2	50.0	40
2 0 0	38.0	39
0 2 2	31.3	33
0 4 0	45.7	23
0 1 3	34.7	21
1 2 5	64.5	14

Atomic structure:
```
data_GdSi2Ni10
_chemical_formula_sum 'Gd2 Si4 Ni20'
_space_group_name_H-M_alt 'I m m m'
_space_group_IT_number 71
_space_group_name_Hall '-I 2 2'
_cell_length_a 4.739
_cell_length_b 7.945
_cell_length_c 8.205
_cell_angle_alpha 90.00
_cell_angle_beta 90.00
_cell_angle_gamma 90.00
loop_
_atom_site_label
_atom_site_fract_x
_atom_site_fract_y
_atom_site_fract_z
_atom_site_occupancy
Gd1 0.000 0.000 0.000 1
Si1 0.000 0.500 0.253 1
Ni1 0.000 0.000 0.356 1
Ni2 0.000 0.305 0.500 1
Ni3 0.000 0.348 0.000 1
Ni4 0.250 0.250 0.250 1
```

---

2.
Theoretical powder diffraction line list
Compound: GdNp3
Radiation: Cu Kα (λ = 1.5418 Å)
Structure: a structure optimized by DFT (GGA-PBE)
Intensities are scaled so that the largest is 100.

Peak list (9 most intense, 5° ≤ 2θ ≤ 70°, by intensity)
(hkl)	2θ/deg	intensity
1 1 1	33.7	100
2 0 0	39.1	50
3 1 1	67.4	42
2 2 0	56.5	35
1 0 0	19.3	2
1 1 0	27.4	2
2 1 0	43.9	1
2 1 1	48.4	1
3 0 0	60.2	1

Atomic structure:
```
data_GdNp3
_chemical_formula_sum 'Gd1 Np3'
_space_group_name_H-M_alt 'P m -3 m'
_space_group_IT_number 221
_space_group_name_Hall '-P 4 2 3'
_cell_length_a 4.609
_cell_length_b 4.609
_cell_length_c 4.609
_cell_angle_alpha 90.00
_cell_angle_beta 90.00
_cell_angle_gamma 90.00
loop_
_atom_site_label
_atom_site_fract_x
_atom_site_fract_y
_atom_site_fract_z
_atom_site_occupancy
Gd1 0.000 0.000 0.000 1
Np1 0.000 0.500 0.500 1
```

---

3.
Theoretical powder diffraction line list
Compound: Gd2O3
Radiation: Cu Kα (λ = 1.5418 Å)
Structure: a structure optimized by DFT (GGA-PBE)
Intensities are scaled so that the largest is 100.

Peak list (10 most intense, 5° ≤ 2θ ≤ 70°, by intensity)
(hkl)	2θ/deg	intensity
0 1 1	31.4	100
1 1 0	48.6	31
0 0 2	30.0	28
1 0 0	27.5	28
1 0 3	54.2	27
1 1 2	58.2	26
0 1 2	41.2	25
2 0 1	59.0	17
2 0 2	65.5	6
2 0 0	56.7	4

Atomic structure:
```
data_Gd2O3
_chemical_formula_sum 'Gd2 O3'
_space_group_name_H-M_alt 'P -3 m 1'
_space_group_IT_number 164
_space_group_name_Hall '-P 3 2"'
_cell_length_a 3.7466
_cell_length_b 3.7466
_cell_length_c 5.9523
_cell_angle_alpha 90.00
_cell_angle_beta 90.00
_cell_angle_gamma 120.00
loop_
_atom_site_label
_atom_site_fract_x
_atom_site_fract_y
_atom_site_fract_z
_atom_site_occupancy
Gd1 0.3333 0.6667 0.2487 1
O1 0.0000 0.0000 0.0000 1
O2 0.3333 0.6667 0.6455 1
```

---

4.
Theoretical powder diffraction line list
Compound: Gd2O3
Radiation: Cu Kα (λ = 1.5418 Å)
Structure: a structure optimized by DFT (GGA-PBE)
Intensities are scaled so that the largest is 100.

Peak list (6 most intense, 5° ≤ 2θ ≤ 70°, by intensity)
(hkl)	2θ/deg	intensity
1 1 1	28.9	100
2 2 0	48.0	49
3 1 1	57.0	45
2 0 0	33.5	36
2 2 2	59.8	10
1 1 0	23.5	1

Atomic structure:
```
data_Gd2O3
_chemical_formula_sum 'Gd4 O6'
_space_group_name_H-M_alt 'P n -3 m'
_space_group_IT_number 224
_cell_length_a 5.358
_cell_length_b 5.358
_cell_length_c 5.358
_cell_angle_alpha 90.00
_cell_angle_beta 90.00
_cell_angle_gamma 90.00
loop_
_space_group_symop_operation_xyz
'x,y,z'
'-x,-y,-z'
'-y,x+1/2,z+1/2'
'y,-x+1/2,-z+1/2'
'-x+1/2,-y+1/2,z'
'x+1/2,y+1/2,-z'
'y+1/2,-x,z+1/2'
'-y+1/2,x,-z+1/2'
'x,-y+1/2,-z+1/2'
'-x,y+1/2,z+1/2'
'-y,-x,-z'
'y,x,z'
'-x+1/2,y,-z+1/2'
'x+1/2,-y,z+1/2'
'y+1/2,x+1/2,-z'
'-y+1/2,-x+1/2,z'
'z,x,y'
'-z,-x,-y'
'z+1/2,-y,x+1/2'
'-z+1/2,y,-x+1/2'
'z,-x+1/2,-y+1/2'
'-z,x+1/2,y+1/2'
'z+1/2,y+1/2,-x'
'-z+1/2,-y+1/2,x'
'-z+1/2,x,-y+1/2'
'z+1/2,-x,y+1/2'
'-z,-y,-x'
'z,y,x'
'-z+1/2,-x+1/2,y'
'z+1/2,x+1/2,-y'
'-z,y+1/2,x+1/2'
'z,-y+1/2,-x+1/2'
'y,z,x'
'-y,-z,-x'
'x+1/2,z+1/2,-y'
'-x+1/2,-z+1/2,y'
'-y+1/2,z,-x+1/2'
'y+1/2,-z,x+1/2'
'-x,z+1/2,y+1/2'
'x,-z+1/2,-y+1/2'
'-y+1/2,-z+1/2,x'
'y+1/2,z+1/2,-x'
'-x,-z,-y'
'x,z,y'
'y,-z+1/2,-x+1/2'
'-y,z+1/2,x+1/2'
'x+1/2,-z,y+1/2'
'-x+1/2,z,-y+1/2'
loop_
_atom_site_label
_atom_site_fract_x
_atom_site_fract_y
_atom_site_fract_z
_atom_site_occupancy
Gd1 0.000 0.000 0.000 1
O1 0.250 0.250 0.750 1
```

---

5.
Theoretical powder diffraction line list
Compound: Gd2O3
Radiation: Cu Kα (λ = 1.5418 Å)
Structure: a structure optimized by DFT (GGA-PBE)
Intensities are scaled so that the largest is 100.

Peak list (10 most intense, 5° ≤ 2θ ≤ 70°, by intensity)
(hkl)	2θ/deg	intensity
2 2 2	28.5	100
4 4 0	47.3	40
4 0 0	33.0	35
6 2 2	56.2	33
2 1 1	20.0	9
4 1 3	42.4	8
4 4 4	58.9	7
6 1 3	57.5	6
4 1 1	35.0	5
6 1 1	51.9	5

Atomic structure:
```
data_Gd2O3
_chemical_formula_sum 'Gd32 O48'
_space_group_name_H-M_alt 'I a -3'
_space_group_IT_number 206
_space_group_name_Hall '-I 2b 2c 3'
_cell_length_a 10.862
_cell_length_b 10.862
_cell_length_c 10.862
_cell_angle_alpha 90.00
_cell_angle_beta 90.00
_cell_angle_gamma 90.00
loop_
_atom_site_label
_atom_site_fract_x
_atom_site_fract_y
_atom_site_fract_z
_atom_site_occupancy
Gd1 0.000 0.250 0.469 1
Gd2 0.250 0.250 0.250 1
O1 0.109 0.150 0.621 1
```

---

6.
Theoretical powder diffraction line list
Compound: Gd2O3
Radiation: Cu Kα (λ = 1.5418 Å)
Structure: a structure optimized by DFT (GGA-PBE)
Intensities are scaled so that the largest is 100.

Peak list (10 most intense, 5° ≤ 2θ ≤ 70°, by intensity)
(hkl)	2θ/deg	intensity
1 0 1	28.1	100
1 1 2	46.4	29
2 1 1	56.0	29
1 1 0	33.0	24
2 0 0	47.4	17
1 0 3	54.4	10
0 0 2	31.7	10
2 0 2	58.1	8
0 0 1	15.7	8
1 0 2	39.7	8

Atomic structure:
```
data_Gd2O3
_chemical_formula_sum 'Gd2 O3'
_space_group_name_H-M_alt 'P -4 m 2'
_space_group_IT_number 115
_cell_length_a 3.839
_cell_length_b 3.839
_cell_length_c 5.637
_cell_angle_alpha 90.00
_cell_angle_beta 90.00
_cell_angle_gamma 90.00
loop_
_space_group_symop_operation_xyz
'x,y,z'
'y,-x,-z'
'-x,-y,z'
'-y,x,-z'
'-x,y,z'
'-y,-x,-z'
'x,-y,z'
'y,x,-z'
loop_
_atom_site_label
_atom_site_fract_x
_atom_site_fract_y
_atom_site_fract_z
_atom_site_occupancy
Gd1 0.000 0.500 0.215 1
O1 0.000 0.000 0.000 1
O2 0.000 0.000 0.500 1
O3 0.500 0.500 0.000 1
```

---

Q: What is the formula in the fifth record?
A: Gd2O3